(1)
Computed powder diffraction line list
Compound: TiHgCl4
Radiation: Cu Kα
Structure: a DFT-relaxed cell (PBE, Alexandria)

Most intense lines, 2θ = 10–90°, low angle first:
- hkl 0 1 1, 14.2°, intensity 27
- hkl 0 2 0, 15.6°, intensity 37
- hkl 2 1 1, 19.5°, intensity 100
- hkl 0 3 1, 26.4°, intensity 26
- hkl 4 2 0, 31.2°, intensity 26
- hkl 2 2 2, 31.6°, intensity 26

Structure:
```
data_TiHgCl4
_chemical_formula_sum 'Ti4 Hg4 Cl16'
_cell_length_a 13.2955
_cell_length_b 11.3702
_cell_length_c 7.4780
_cell_angle_alpha 90.00
_cell_angle_beta 90.00
_cell_angle_gamma 90.00
_space_group_name_H-M_alt 'A m a 2'
_space_group_IT_number 40
_space_group_name_Hall 'A 2 -2a'
loop_
_atom_site_label
_atom_site_fract_x
_atom_site_fract_y
_atom_site_fract_z
Ti1 0.2500 0.0977 0.0000
Hg1 0.0000 0.0000 0.5532
Cl1 0.1156 0.1971 0.9260
Cl2 0.2500 0.0648 0.2880
Cl3 0.2500 0.4303 0.3561
```

(2)
Computed powder diffraction line list
Compound: TlHgCl3
Radiation: Cu Kα
Structure: a DFT-relaxed cell (PBE, Alexandria)

Most intense lines, 2θ = 10–90°, low angle first:
- hkl 0 0 2, 20.1°, intensity 38
- hkl 2 0 0, 22.2°, intensity 68
- hkl 1 1 0, 22.8°, intensity 100
- hkl 0 1 2, 28.4°, intensity 96
- hkl 1 1 -2, 28.8°, intensity 59
- hkl 2 1 2, 39.2°, intensity 45

Structure:
```
data_TlHgCl3
_chemical_formula_sum 'Tl2 Hg2 Cl6'
_cell_length_a 8.2378
_cell_length_b 4.4606
_cell_length_c 9.0868
_cell_angle_alpha 90.00
_cell_angle_beta 103.20
_cell_angle_gamma 90.00
_space_group_name_H-M_alt 'P 1 21 1'
_space_group_IT_number 4
_space_group_name_Hall 'P 2yb'
loop_
_atom_site_label
_atom_site_fract_x
_atom_site_fract_y
_atom_site_fract_z
Tl1 0.2504 0.0000 0.1591
Hg1 0.1630 0.9989 0.6898
Cl1 0.1344 0.4991 0.3971
Cl2 0.1527 0.4993 0.8956
Cl3 0.4542 0.9994 0.7061
```